[1]
Diffraction record for Tb3YRh8. The powder diffraction line list is computed, not measured: it uses a DFT-relaxed cell (PBE, Alexandria) and λ = 1.5418 Å (Cu Kα).
Intensities are scaled so that the largest is 100.

Most intense lines, 10° ≤ 2θ ≤ 90°, by intensity:
- 39.53°, I = 100, hkl 1 1 6
- 33.53°, I = 37, hkl 1 1 0
- 63.99°, I = 32, hkl 2 0 14
- 41.37°, I = 31, hkl 0 0 12
- 70.45°, I = 26, hkl 2 2 0
- 59.94°, I = 14, hkl 3 0 0
- 85.12°, I = 11, hkl 2 2 12
- 83.93°, I = 11, hkl 1 0 22
- 80.32°, I = 6, hkl 3 1 8
- 48.14°, I = 2, hkl 2 0 8
- 10.14°, I = 1, hkl 0 0 3
- 19.47°, I = 1, hkl 1 0 1

Structural model:
a b c (Å): 5.3471 5.3471 26.1805
angles (deg): 90.00 90.00 120.00
Space group R3m (No. 160, hexagonal axes)
Asymmetric unit:
Tb: 0.0000 0.0000 0.0000 x3
Tb: 0.0000 0.0000 0.1253 x3
Tb: 0.0000 0.0000 0.6253 x3
Y: 0.0000 0.0000 0.5000 x3
Rh: 0.0000 0.0000 0.3126 x3
Rh: 0.0000 0.0000 0.8126 x3
Rh: 0.0000 0.5000 0.0626 x9
Rh: 0.0000 0.5000 0.5626 x9


[2]
Diffraction record for PrNd4Tm3. The powder diffraction line list is computed, not measured: it uses a DFT-relaxed cell (PBE, Alexandria) and λ = 1.5418 Å (Cu Kα).
Intensities are scaled so that the largest is 100.

Most intense lines, 10° ≤ 2θ ≤ 90°, by intensity:
- 30.33°, I = 100, hkl 2 2 0
- 35.16°, I = 51, hkl 4 0 0
- 60.12°, I = 43, hkl 6 2 0
- 50.58°, I = 36, hkl 4 2 2
- 82.33°, I = 15, hkl 6 2 4
- 84.95°, I = 14, hkl 8 2 2
- 63.09°, I = 12, hkl 4 0 4
- 74.37°, I = 4, hkl 0 4 4
- 82.44°, I = 3, hkl 2 0 6
- 85.07°, I = 3, hkl 0 2 6
- 74.25°, I = 2, hkl 8 0 0

Structural model:
a b c (Å): 10.219 7.219 7.211
angles (deg): 90.00 90.00 90.00
Space group Pmna (No. 53)
Asymmetric unit:
Pr: 0.000 0.000 0.000 x2
Nd: 0.000 0.000 0.500 x2
Nd: 0.000 0.500 0.000 x2
Nd: 0.250 0.253 0.250 x4
Tm: 0.000 0.500 0.500 x2
Tm: 0.250 0.253 0.750 x4


[3]
Diffraction record for Tb2Fe17CN. The powder diffraction line list is computed, not measured: it uses a DFT-relaxed cell (PBE, Alexandria) and λ = 1.5418 Å (Cu Kα).
Intensities are scaled so that the largest is 100.

Most intense lines, 10° ≤ 2θ ≤ 90°, by intensity:
- 42.43°, I = 100, hkl -1 2 2
- 42.16°, I = 79, hkl 2 -2 0
- 43.71°, I = 75, hkl 2 2 2
- 37.68°, I = 61, hkl 2 2 0
- 41.73°, I = 49, hkl 0 2 -2
- 41.90°, I = 49, hkl 2 0 -2
- 29.85°, I = 45, hkl 1 0 2
- 30.00°, I = 40, hkl 2 1 0
- 42.63°, I = 35, hkl 3 0 0
- 42.28°, I = 31, hkl 2 2 -1
- 36.29°, I = 29, hkl -2 1 1
- 36.14°, I = 27, hkl 1 -2 1

Structural model:
a b c (Å): 6.441 6.472 6.509
angles (deg): 83.68 83.51 83.14
Space group P-1 (No. 2)
Asymmetric unit:
Tb: 0.161 0.151 0.159 x2
Fe: 0.000 0.500 0.500 x1
Fe: 0.154 0.156 0.644 x2
Fe: 0.155 0.646 0.160 x2
Fe: 0.211 0.788 0.502 x2
Fe: 0.213 0.502 0.784 x2
Fe: 0.351 0.844 0.841 x2
Fe: 0.403 0.404 0.405 x2
Fe: 0.498 0.218 0.782 x2
Fe: 0.500 0.000 0.500 x1
Fe: 0.500 0.500 0.000 x1
C: 0.000 0.500 0.000 x1
N: 0.500 0.000 0.000 x1


[4]
Diffraction record for V6ReW12. The powder diffraction line list is computed, not measured: it uses a DFT-relaxed cell (PBE, Alexandria) and λ = 1.5418 Å (Cu Kα).
Intensities are scaled so that the largest is 100.

Most intense lines, 10° ≤ 2θ ≤ 90°, by intensity:
- 39.79°, I = 100, hkl 3 2 1
- 45.71°, I = 67, hkl 5 -3 2
- 37.87°, I = 43, hkl 0 0 3
- 65.32°, I = 23, hkl 3 2 4
- 80.51°, I = 19, hkl 1 7 3
- 67.94°, I = 16, hkl 1 7 0
- 78.07°, I = 15, hkl 5 -3 5
- 25.85°, I = 14, hkl 2 1 1
- 14.73°, I = 11, hkl 1 1 0
- 33.47°, I = 8, hkl 4 -3 1
- 81.72°, I = 8, hkl 10 -6 1
- 21.13°, I = 8, hkl 0 2 1

Structural model:
a b c (Å): 12.0276 12.0276 7.1275
angles (deg): 90.00 90.00 120.00
Space group R-3 (No. 148, hexagonal axes)
Asymmetric unit:
V: 0.0340 0.2671 0.3321 x18
Re: 0.0000 0.0000 0.0000 x3
W: 0.0152 0.1405 0.6698 x18
W: 0.0639 0.5832 0.6660 x18